Diffraction record for NaCdIn2. The X-ray diffraction stick pattern is simulated, not measured: it uses the PBE geometry in Alexandria and Cu Kα (λ = 1.5418 Å).
Intensities are scaled so that the largest is 100.

Main lines, in order of falling intensity (2θ from 10° to 90°):
2theta, Rel. int., h k l
28.15, 100.0, 0 0 2
31.28, 93.6, 4 1 0
16.81, 51.2, 2 1 0
15.03, 47.8, 2 0 0
48.74, 46.8, 5 1 2
32.97, 45.1, 2 1 2
42.57, 44.2, 4 1 2
32.21, 41.1, 3 3 0
48.09, 40.0, 4 3 2
38.95, 36.7, 5 1 0

```
data_NaCdIn2
_cell_length_a 11.792
_cell_length_b 11.792
_cell_length_c 6.341
_cell_angle_alpha 90.00
_cell_angle_beta 90.00
_cell_angle_gamma 90.00
_space_group_name_H-M_alt 'P 42/m b c'
_space_group_IT_number 135
_space_group_name_Hall '-P 4c 2ab'
loop_
_atom_site_label
_atom_site_type_symbol
_atom_site_fract_x
_atom_site_fract_y
_atom_site_fract_z
Na1 Na 0.188 0.312 0.250
Cd1 Cd 0.044 0.812 0.000
In1 In 0.035 0.848 0.500
In2 In 0.075 0.600 0.500
```

---

Diffraction record for LaHo2Al9. The X-ray diffraction stick pattern is simulated, not measured: it uses the PBE geometry in Alexandria and Cu Kα (λ = 1.5418 Å).
Intensities are scaled so that the largest is 100.

Main lines, in order of falling intensity (2θ from 10° to 90°):
2theta, Rel. int., h k l
38.04, 100.0, 1 1 6
31.87, 90.8, 1 1 0
30.02, 88.0, 1 0 7
18.55, 80.2, 1 0 1
32.84, 53.5, 0 1 8
37.13, 45.7, 0 2 1
62.37, 33.7, 2 0 14
55.65, 32.3, 2 1 7
10.07, 27.9, 0 0 3
60.92, 25.1, 0 3 6

```
data_LaHo2Al9
_cell_length_a 5.6154
_cell_length_b 5.6154
_cell_length_c 26.3529
_cell_angle_alpha 90.00
_cell_angle_beta 90.00
_cell_angle_gamma 120.00
_space_group_name_H-M_alt 'R -3 m'
_space_group_IT_number 166
_space_group_name_Hall '-R 3 2"'
loop_
_atom_site_label
_atom_site_type_symbol
_atom_site_fract_x
_atom_site_fract_y
_atom_site_fract_z
La1 La 0.0000 0.0000 0.0000
Ho1 Ho 0.0000 0.0000 0.1416
Al1 Al 0.0000 0.0000 0.3356
Al2 Al 0.0000 0.0000 0.5000
Al3 Al 0.0075 0.5038 0.9158
```

---

Diffraction record for ScH4Os. The X-ray diffraction stick pattern is simulated, not measured: it uses the PBE geometry in Alexandria and Cu Kα (λ = 1.5418 Å).
Intensities are scaled so that the largest is 100.

Main lines, in order of falling intensity (2θ from 10° to 90°):
2theta, Rel. int., h k l
30.61, 100.0, 1 1 1
27.39, 50.5, 1 1 -1
39.94, 47.9, 3 1 -1
32.62, 41.3, 2 0 -2
22.21, 40.5, 2 0 0
50.28, 25.5, 1 1 -3
42.83, 19.3, 2 0 2
30.46, 18.4, 0 0 2
56.53, 17.8, 2 2 -2
44.82, 17.6, 0 2 0

```
data_ScH4Os
_cell_length_a 8.313
_cell_length_b 4.044
_cell_length_c 6.094
_cell_angle_alpha 90.00
_cell_angle_beta 105.60
_cell_angle_gamma 90.00
_space_group_name_H-M_alt 'C 1 2/c 1'
_space_group_IT_number 15
loop_
_space_group_symop_operation_xyz
'x,y,z'
'-x,-y,-z'
'-x,y,-z+1/2'
'x,-y,z+1/2'
'x+1/2,y+1/2,z'
'-x+1/2,-y+1/2,-z'
'-x+1/2,y+1/2,-z+1/2'
'x+1/2,-y+1/2,z+1/2'
loop_
_atom_site_label
_atom_site_type_symbol
_atom_site_fract_x
_atom_site_fract_y
_atom_site_fract_z
Sc1 Sc 0.000 0.250 0.250
H1 H 0.038 0.250 0.921
H2 H 0.250 0.001 0.251
Os1 Os 0.250 0.250 0.000
```